# Li4CuCl
Theoretical PXRD pattern, Cu Kα (λ = 1.5418 Å). Input: the PBE geometry in Alexandria.
Intensities are scaled so that the largest is 100.

a = 7.661 Å, b = 7.661 Å, c = 7.661 Å
α = 90.00°, β = 90.00°, γ = 90.00°
Space group F-43m (No. 216)
Symmetry-distinct sites (fractional):
1 Li 0.124 0.124 0.376 (multiplicity 16)
2 Cu 0.250 0.250 0.750 (multiplicity 4)
3 Cl 0.000 0.000 0.000 (multiplicity 4)

Main lines, in order of rising 2θ (2θ from 10° to 80°):
2theta	Rel. int.	h k l
20.07	100	1 1 1
23.22	11	2 0 0
33.07	100	2 2 0
38.99	87	3 1 1
52.03	21	3 3 1
59.07	33	4 2 2
63.05	25	3 3 3
69.39	14	4 4 0
73.07	14	5 3 1
79.05	13	6 2 0